# LiTa
Simulated XRD peak list, Cu Kα (λ = 1.5418 Å). Input: the GGA-PBE geometry in Alexandria.

Atomic structure:
Cell: 2.764 2.764 9.696 Å, 90.00 90.00 90.00°
Space group P4/nmm (No. 129, origin choice 2)
One atom of each set of equivalent atoms:
Li (0.250, 0.250, 0.128) x2
Ta (0.250, 0.250, 0.617) x2

Main lines, sorted by position (2θ = 5–70°):
9.12 deg, I 1000; 27.60 deg, I 52; 33.72 deg, I 162; 37.09 deg, I 75; 37.45 deg, I 303; 43.06 deg, I 122; 46.46 deg, I 84; 47.45 deg, I 78; 60.88 deg, I 72; 67.09 deg, I 51

---

# Li2Tb
Simulated XRD peak list, Cu Kα (λ = 1.5418 Å). Input: the GGA-PBE geometry in Alexandria.

Atomic structure:
Cell: 3.629 3.629 10.795 Å, 90.00 90.00 90.00°
Space group I4/mmm (No. 139)
One atom of each set of equivalent atoms:
Li (0.000, 0.000, 0.191) x4
Tb (0.000, 0.000, 0.500) x2

Main lines, sorted by position (2θ = 5–70°):
16.42 deg, I 690; 25.90 deg, I 1000; 33.20 deg, I 140; 34.97 deg, I 274; 35.12 deg, I 534; 38.86 deg, I 328; 48.98 deg, I 189; 49.10 deg, I 163; 57.42 deg, I 222; 62.82 deg, I 199

---

# Li2Tb
Simulated XRD peak list, Cu Kα (λ = 1.5418 Å). Input: the GGA-PBE geometry in Alexandria.

Atomic structure:
Cell: 8.266 8.266 8.266 Å, 90.00 90.00 90.00°
Space group Fd-3m (No. 227, origin choice 2)
One atom of each set of equivalent atoms:
Li (0.000, 0.000, 0.000) x16
Tb (0.125, 0.125, 0.625) x8

Main lines, sorted by position (2θ = 5–70°):
18.59 deg, I 1000; 30.59 deg, I 984; 36.04 deg, I 697; 43.81 deg, I 162; 47.98 deg, I 259; 54.38 deg, I 393; 57.98 deg, I 236; 63.69 deg, I 138; 66.98 deg, I 191

---

# Li3Tb
Simulated XRD peak list, Cu Kα (λ = 1.5418 Å). Input: the GGA-PBE geometry in Alexandria.

Atomic structure:
Cell: 3.391 3.391 16.266 Å, 90.00 90.00 90.00°
Space group P4/nmm (No. 129, origin choice 2)
One atom of each set of equivalent atoms:
Li (0.250, 0.250, 0.054) x2
Li (0.250, 0.250, 0.274) x2
Li (0.250, 0.250, 0.834) x2
Tb (0.250, 0.250, 0.578) x2

Main lines, sorted by position (2θ = 5–70°):
5.43 deg, I 1000; 10.88 deg, I 99; 26.85 deg, I 36; 28.52 deg, I 100; 31.11 deg, I 121; 34.43 deg, I 94; 37.51 deg, I 44; 37.93 deg, I 50; 50.83 deg, I 30; 63.72 deg, I 31

---

# LiTb3Te4
Simulated XRD peak list, Cu Kα (λ = 1.5418 Å). Input: the GGA-PBE geometry in Alexandria.

Atomic structure:
Cell: 6.158 6.158 12.298 Å, 90.00 90.00 90.00°
Space group I4/mmm (No. 139)
One atom of each set of equivalent atoms:
Li (0.000, 0.000, 0.000) x2
Tb (0.000, 0.000, 0.500) x2
Tb (0.000, 0.500, 0.250) x4
Te (0.000, 0.000, 0.243) x4
Te (0.000, 0.500, 0.000) x4

Main lines, sorted by position (2θ = 5–70°):
14.40 deg, I 42; 16.10 deg, I 113; 26.11 deg, I 64; 29.02 deg, I 1000; 33.34 deg, I 39; 39.42 deg, I 49; 41.50 deg, I 756; 51.43 deg, I 269; 60.13 deg, I 125; 68.13 deg, I 343

---

# LiTb4Te5
Simulated XRD peak list, Cu Kα (λ = 1.5418 Å). Input: the GGA-PBE geometry in Alexandria.

Atomic structure:
Cell: 4.360 4.360 30.945 Å, 90.00 90.00 90.00°
Space group I4/mmm (No. 139)
One atom of each set of equivalent atoms:
Li (0.000, 0.000, 0.000) x2
Tb (0.000, 0.000, 0.204) x4
Tb (0.000, 0.000, 0.403) x4
Te (0.000, 0.000, 0.101) x4
Te (0.000, 0.000, 0.303) x4
Te (0.000, 0.000, 0.500) x2

Main lines, sorted by position (2θ = 5–70°):
5.71 deg, I 208; 20.57 deg, I 73; 28.85 deg, I 463; 28.96 deg, I 893; 41.37 deg, I 1000; 51.26 deg, I 364; 60.02 deg, I 113; 67.76 deg, I 138; 67.94 deg, I 153; 68.00 deg, I 155

---

# Li6TbTl6
Simulated XRD peak list, Cu Kα (λ = 1.5418 Å). Input: the GGA-PBE geometry in Alexandria.

Atomic structure:
Cell: 5.928 9.652 9.758 Å, 90.00 90.00 90.00°
Space group Immm (No. 71)
One atom of each set of equivalent atoms:
Li (0.000, 0.239, 0.000) x4
Li (0.250, 0.250, 0.250) x8
Tb (0.000, 0.500, 0.500) x2
Tl (0.000, 0.000, 0.175) x4
Tl (0.000, 0.162, 0.500) x4
Tl (0.000, 0.500, 0.162) x4

Main lines, sorted by position (2θ = 5–70°):
18.38 deg, I 563; 25.49 deg, I 304; 29.23 deg, I 184; 30.15 deg, I 559; 31.37 deg, I 1000; 35.54 deg, I 249; 36.60 deg, I 452; 36.74 deg, I 278; 54.32 deg, I 218; 66.77 deg, I 241

---

# Li4TbTl2
Simulated XRD peak list, Cu Kα (λ = 1.5418 Å). Input: the GGA-PBE geometry in Alexandria.

Atomic structure:
Cell: 3.812 3.812 20.142 Å, 90.00 90.00 90.00°
Space group I4/mmm (No. 139)
One atom of each set of equivalent atoms:
Li (0.000, 0.000, 0.152) x4
Li (0.000, 0.500, 0.250) x4
Tb (0.000, 0.000, 0.000) x2
Tl (0.000, 0.000, 0.392) x4

Main lines, sorted by position (2θ = 5–70°):
8.78 deg, I 853; 23.76 deg, I 155; 26.90 deg, I 563; 32.33 deg, I 1000; 33.24 deg, I 484; 34.45 deg, I 179; 47.72 deg, I 192; 49.54 deg, I 170; 57.08 deg, I 178; 58.82 deg, I 371

---

# LiTb3Zn4
Simulated XRD peak list, Cu Kα (λ = 1.5418 Å). Input: the GGA-PBE geometry in Alexandria.

Atomic structure:
Cell: 4.9415 4.9415 24.4876 Å, 90.00 90.00 120.00°
Space group R-3m (No. 166, hexagonal axes)
One atom of each set of equivalent atoms:
Li (0.0000, 0.0000, 0.0000) x3
Tb (0.0000, 0.0000, 0.2544) x6
Tb (0.0000, 0.0000, 0.5000) x3
Zn (0.0000, 0.0000, 0.1213) x6
Zn (0.0000, 0.0000, 0.3742) x6

Main lines, sorted by position (2θ = 5–70°):
10.84 deg, I 135; 21.07 deg, I 170; 25.39 deg, I 154; 27.68 deg, I 153; 36.08 deg, I 995; 36.36 deg, I 1000; 52.16 deg, I 342; 64.68 deg, I 162; 65.24 deg, I 343; 65.43 deg, I 175

---

# LiTb5Zn6
Simulated XRD peak list, Cu Kα (λ = 1.5418 Å). Input: the GGA-PBE geometry in Alexandria.

Atomic structure:
Cell: 4.996 7.037 15.045 Å, 90.00 90.00 90.00°
Space group Immm (No. 71)
One atom of each set of equivalent atoms:
Li (0.000, 0.000, 0.000) x2
Tb (0.000, 0.000, 0.332) x4
Tb (0.000, 0.500, 0.000) x2
Tb (0.000, 0.500, 0.335) x4
Zn (0.000, 0.237, 0.159) x8
Zn (0.000, 0.262, 0.500) x4

Main lines, sorted by position (2θ = 5–70°):
21.79 deg, I 45; 24.86 deg, I 48; 25.16 deg, I 90; 35.81 deg, I 200; 35.98 deg, I 1000; 51.65 deg, I 139; 51.98 deg, I 68; 64.47 deg, I 136; 64.68 deg, I 208; 64.82 deg, I 68

---

# LiTb3Zn
Simulated XRD peak list, Cu Kα (λ = 1.5418 Å). Input: the GGA-PBE geometry in Alexandria.

Atomic structure:
Cell: 5.104 19.550 5.108 Å, 90.00 90.00 90.00°
Space group Cmcm (No. 63)
One atom of each set of equivalent atoms:
Li (0.000, 0.156, 0.250) x4
Tb (0.000, 0.063, 0.750) x4
Tb (0.000, 0.250, 0.750) x4
Tb (0.000, 0.435, 0.750) x4
Zn (0.000, 0.341, 0.250) x4

Main lines, sorted by position (2θ = 5–70°):
25.08 deg, I 378; 27.37 deg, I 167; 28.26 deg, I 96; 33.79 deg, I 1000; 35.15 deg, I 511; 45.12 deg, I 174; 50.56 deg, I 182; 57.83 deg, I 121; 59.56 deg, I 130; 62.20 deg, I 342

---

# LiTc3
Simulated XRD peak list, Cu Kα (λ = 1.5418 Å). Input: the GGA-PBE geometry in Alexandria.

Atomic structure:
Cell: 5.161 8.367 2.618 Å, 90.00 90.00 90.00°
Space group Cmmm (No. 65)
One atom of each set of equivalent atoms:
Li (0.000, 0.000, 0.000) x2
Tc (0.000, 0.500, 0.000) x2
Tc (0.250, 0.250, 0.500) x4

Main lines, sorted by position (2θ = 5–70°):
20.22 deg, I 606; 21.24 deg, I 269; 36.62 deg, I 130; 40.10 deg, I 201; 40.66 deg, I 1000; 41.10 deg, I 969; 43.25 deg, I 418; 49.60 deg, I 556; 54.51 deg, I 121; 67.89 deg, I 422

---

# LiTc3
Simulated XRD peak list, Cu Kα (λ = 1.5418 Å). Input: the GGA-PBE geometry in Alexandria.

Atomic structure:
Cell: 3.046 4.305 8.518 Å, 90.00 90.00 90.00°
Space group Immm (No. 71)
One atom of each set of equivalent atoms:
Li (0.000, 0.000, 0.000) x2
Tc (0.000, 0.000, 0.500) x2
Tc (0.000, 0.500, 0.242) x4

Main lines, sorted by position (2θ = 5–70°):
20.86 deg, I 153; 23.15 deg, I 299; 31.19 deg, I 89; 36.12 deg, I 75; 41.97 deg, I 254; 42.08 deg, I 1000; 42.45 deg, I 239; 43.58 deg, I 77; 60.83 deg, I 82; 61.23 deg, I 157

---

# LiTc3
Simulated XRD peak list, Cu Kα (λ = 1.5418 Å). Input: the GGA-PBE geometry in Alexandria.

Atomic structure:
Cell: 2.602 4.302 5.072 Å, 90.00 99.14 90.00°
Space group P2/m (No. 10)
One atom of each set of equivalent atoms:
Li (0.000, 0.000, 0.000) x1
Tc (0.273, 0.500, 0.761) x2
Tc (0.500, 0.000, 0.500) x1

Main lines, sorted by position (2θ = 5–70°):
17.71 deg, I 324; 20.65 deg, I 315; 27.33 deg, I 416; 34.93 deg, I 139; 41.74 deg, I 1000; 42.00 deg, I 980; 42.47 deg, I 960; 59.51 deg, I 86; 60.90 deg, I 313; 61.23 deg, I 158

---

# Li5Tc
Simulated XRD peak list, Cu Kα (λ = 1.5418 Å). Input: the GGA-PBE geometry in Alexandria.

Atomic structure:
Cell: 4.882 14.719 2.566 Å, 90.00 90.00 90.00°
Space group Cmmm (No. 65)
One atom of each set of equivalent atoms:
Li (0.000, 0.000, 0.000) x2
Li (0.000, 0.153, 0.500) x4
Li (0.000, 0.338, 0.000) x4
Tc (0.000, 0.500, 0.500) x2

Main lines, sorted by position (2θ = 5–70°):
12.03 deg, I 1000; 19.15 deg, I 666; 24.19 deg, I 177; 25.74 deg, I 325; 35.61 deg, I 146; 36.82 deg, I 110; 37.11 deg, I 126; 38.87 deg, I 112; 40.17 deg, I 192; 43.93 deg, I 263